No. 1
# K3Np3InTe8
Computed X-ray powder pattern, Cu Ka. Input: a DFT-relaxed cell (GGA-PBE, Alexandria).
Kinematic intensities with the Lorentz-polarization factor, no thermal factor.

Crystal structure
abc: 9.770 9.770 9.770
angles: 54.77 54.77 54.77
Positions (direct):
K (0.000, 0.500, 0.500)
K (0.500, 0.000, 0.500)
K (0.500, 0.500, 0.000)
Np (0.000, 0.000, 0.500)
Np (0.000, 0.500, 0.000)
Np (0.500, 0.000, 0.000)
In (0.500, 0.500, 0.500)
Te (0.231, 0.736, 0.736)
Te (0.236, 0.236, 0.236)
Te (0.264, 0.264, 0.769)
Te (0.264, 0.769, 0.264)
Te (0.736, 0.231, 0.736)
Te (0.736, 0.736, 0.231)
Te (0.764, 0.764, 0.764)
Te (0.769, 0.264, 0.264)

Top 10 peaks for 2θ from 10° to 80°, by intensity:
27.04 deg, d 3.298, intensity 1000
10.69 deg, d 8.278, intensity 717
40.13 deg, d 2.247, intensity 374
37.04 deg, d 2.427, intensity 347
34.20 deg, d 2.622, intensity 263
49.06 deg, d 1.857, intensity 195
41.65 deg, d 2.169, intensity 173
65.17 deg, d 1.431, intensity 165
46.50 deg, d 1.953, intensity 160
23.13 deg, d 3.845, intensity 144



No. 2
# Pr3Er3Th2
Computed X-ray powder pattern, Cu Ka. Input: a DFT-relaxed cell (GGA-PBE, Alexandria).
Kinematic intensities with the Lorentz-polarization factor, no thermal factor.

Crystal structure
abc: 6.218 6.250 8.060
angles: 104.90 104.83 109.62
Positions (direct):
Pr (0.000, 0.000, 0.000)
Pr (0.132, 0.632, 0.264)
Pr (0.868, 0.368, 0.736)
Er (0.374, 0.874, 0.748)
Er (0.500, 0.500, 0.000)
Er (0.626, 0.126, 0.252)
Th (0.254, 0.253, 0.507)
Th (0.746, 0.747, 0.493)

Top 10 peaks for 2θ from 10° to 80°, by intensity:
30.36 deg, d 2.944, intensity 1000
35.24 deg, d 2.546, intensity 675
30.52 deg, d 2.929, intensity 331
50.59 deg, d 1.804, intensity 242
50.81 deg, d 1.797, intensity 242
60.26 deg, d 1.536, intensity 239
60.16 deg, d 1.538, intensity 192
60.44 deg, d 1.532, intensity 144
63.16 deg, d 1.472, intensity 124
74.53 deg, d 1.273, intensity 77



No. 3
# NaPmCdSb
Computed X-ray powder pattern, Cu Ka. Input: a DFT-relaxed cell (GGA-PBE, Alexandria).
Kinematic intensities with the Lorentz-polarization factor, no thermal factor.

Crystal structure
abc: 7.581 7.581 7.581
angles: 90.00 90.00 90.00
Positions (direct):
Na (0.000, 0.000, 0.000)
Na (0.000, 0.500, 0.500)
Na (0.500, 0.000, 0.500)
Na (0.500, 0.500, 0.000)
Pm (0.000, 0.000, 0.500)
Pm (0.000, 0.500, 0.000)
Pm (0.500, 0.000, 0.000)
Pm (0.500, 0.500, 0.500)
Cd (0.250, 0.250, 0.750)
Cd (0.250, 0.750, 0.250)
Cd (0.750, 0.250, 0.250)
Cd (0.750, 0.750, 0.750)
Sb (0.250, 0.250, 0.250)
Sb (0.250, 0.750, 0.750)
Sb (0.750, 0.250, 0.750)
Sb (0.750, 0.750, 0.250)

Top 10 peaks for 2θ from 10° to 80°, by intensity:
33.43 deg, d 2.680, intensity 1000
59.76 deg, d 1.548, intensity 363
20.29 deg, d 4.377, intensity 209
48.00 deg, d 1.895, intensity 178
39.42 deg, d 2.286, intensity 115
70.23 deg, d 1.340, intensity 111
52.62 deg, d 1.739, intensity 51
63.79 deg, d 1.459, intensity 39
73.97 deg, d 1.281, intensity 38
23.47 deg, d 3.791, intensity 31



No. 4
# RbHgI2Br
Computed X-ray powder pattern, Cu Ka. Input: a DFT-relaxed cell (GGA-PBE, Alexandria).
Kinematic intensities with the Lorentz-polarization factor, no thermal factor.

Crystal structure
abc: 8.192 6.720 9.130
angles: 90.00 101.06 90.00
Positions (direct):
Rb (0.232, 0.250, 0.356)
Rb (0.768, 0.750, 0.644)
Hg (0.402, 0.250, 0.838)
Hg (0.598, 0.750, 0.162)
I (0.066, 0.250, 0.721)
I (0.420, 0.750, 0.868)
I (0.580, 0.250, 0.132)
I (0.934, 0.750, 0.279)
Br (0.403, 0.750, 0.369)
Br (0.597, 0.250, 0.631)

Top 10 peaks for 2θ from 10° to 80°, by intensity:
26.53 deg, d 3.360, intensity 1000
11.01 deg, d 8.039, intensity 883
13.31 deg, d 6.652, intensity 662
16.49 deg, d 5.376, intensity 583
20.76 deg, d 4.278, intensity 423
29.82 deg, d 2.996, intensity 409
42.55 deg, d 2.125, intensity 353
32.67 deg, d 2.741, intensity 350
29.23 deg, d 3.055, intensity 333
19.82 deg, d 4.480, intensity 318



No. 5
# PmCd8Hg2
Computed X-ray powder pattern, Cu Ka. Input: a DFT-relaxed cell (GGA-PBE, Alexandria).
Kinematic intensities with the Lorentz-polarization factor, no thermal factor.

Crystal structure
abc: 9.586 9.586 5.029
angles: 96.45 96.45 36.79
Positions (direct):
Pm (0.000, 0.000, 0.000)
Cd (0.152, 0.665, 0.460)
Cd (0.179, 0.179, 0.079)
Cd (0.335, 0.848, 0.540)
Cd (0.414, 0.414, 0.970)
Cd (0.586, 0.586, 0.030)
Cd (0.665, 0.152, 0.460)
Cd (0.821, 0.821, 0.921)
Cd (0.848, 0.335, 0.540)
Hg (0.265, 0.265, 0.624)
Hg (0.735, 0.735, 0.376)

Top 10 peaks for 2θ from 10° to 80°, by intensity:
35.55 deg, d 2.525, intensity 1000
32.87 deg, d 2.725, intensity 353
34.67 deg, d 2.587, intensity 331
35.73 deg, d 2.513, intensity 241
35.97 deg, d 2.497, intensity 222
39.05 deg, d 2.307, intensity 201
40.27 deg, d 2.240, intensity 201
29.67 deg, d 3.011, intensity 198
31.18 deg, d 2.868, intensity 179
64.78 deg, d 1.439, intensity 176



No. 6
# CeMgB14
Computed X-ray powder pattern, Cu Ka. Input: a DFT-relaxed cell (GGA-PBE, Alexandria).
Kinematic intensities with the Lorentz-polarization factor, no thermal factor.

Crystal structure
abc: 7.426 7.426 7.426
angles: 133.01 87.11 111.61
Positions (direct):
Ce (0.387, 0.137, 0.250)
Ce (0.613, 0.863, 0.750)
Mg (0.000, 0.000, 0.500)
Mg (0.000, 0.500, 0.000)
B (0.002, 0.871, 0.131)
B (0.029, 0.205, 0.328)
B (0.029, 0.701, 0.824)
B (0.087, 0.669, 0.418)
B (0.197, 0.531, 0.667)
B (0.220, 0.499, 0.399)
B (0.220, 0.821, 0.721)
B (0.240, 0.871, 0.369)
B (0.248, 0.331, 0.918)
B (0.364, 0.531, 0.833)
B (0.377, 0.205, 0.676)
B (0.377, 0.701, 0.172)
B (0.400, 0.179, 0.899)
B (0.400, 0.501, 0.221)
B (0.600, 0.499, 0.779)
B (0.600, 0.821, 0.101)
B (0.623, 0.299, 0.828)
B (0.623, 0.795, 0.324)
B (0.636, 0.469, 0.167)
B (0.752, 0.669, 0.082)
B (0.760, 0.129, 0.631)
B (0.780, 0.179, 0.279)
B (0.780, 0.501, 0.601)
B (0.803, 0.469, 0.333)
B (0.913, 0.331, 0.582)
B (0.971, 0.299, 0.176)
B (0.971, 0.795, 0.672)
B (0.998, 0.129, 0.869)

Top 10 peaks for 2θ from 10° to 80°, by intensity:
27.43 deg, d 3.252, intensity 1000
13.42 deg, d 6.597, intensity 872
24.77 deg, d 3.594, intensity 817
33.19 deg, d 2.699, intensity 762
40.99 deg, d 2.202, intensity 747
16.47 deg, d 5.382, intensity 744
36.34 deg, d 2.472, intensity 721
39.51 deg, d 2.281, intensity 552
34.58 deg, d 2.594, intensity 391
18.37 deg, d 4.829, intensity 357



No. 7
# ThFe4Si2
Computed X-ray powder pattern, Cu Ka. Input: a DFT-relaxed cell (GGA-PBE, Alexandria).
Kinematic intensities with the Lorentz-polarization factor, no thermal factor.

Crystal structure
abc: 7.266 7.266 3.725
angles: 90.00 90.00 90.00
Positions (direct):
Th (0.000, 0.000, 0.000)
Th (0.500, 0.500, 0.500)
Fe (0.080, 0.354, 0.500)
Fe (0.146, 0.580, 0.000)
Fe (0.354, 0.080, 0.500)
Fe (0.420, 0.854, 0.000)
Fe (0.580, 0.146, 0.000)
Fe (0.646, 0.920, 0.500)
Fe (0.854, 0.420, 0.000)
Fe (0.920, 0.646, 0.500)
Si (0.222, 0.778, 0.500)
Si (0.278, 0.278, 0.000)
Si (0.722, 0.722, 0.000)
Si (0.778, 0.222, 0.500)

Top 10 peaks for 2θ from 10° to 80°, by intensity:
36.70 deg, d 2.449, intensity 1000
39.21 deg, d 2.298, intensity 449
26.89 deg, d 3.315, intensity 405
24.50 deg, d 3.633, intensity 314
57.88 deg, d 1.593, intensity 228
69.42 deg, d 1.354, intensity 214
64.39 deg, d 1.447, intensity 207
34.93 deg, d 2.569, intensity 186
48.90 deg, d 1.863, intensity 162
17.26 deg, d 5.138, intensity 152



No. 8
# KSr2Au6
Computed X-ray powder pattern, Cu Ka. Input: a DFT-relaxed cell (GGA-PBE, Alexandria).
Kinematic intensities with the Lorentz-polarization factor, no thermal factor.

Crystal structure
abc: 8.654 8.654 8.654
angles: 151.89 120.18 67.37
Positions (direct):
K (0.000, 0.000, 0.000)
Sr (0.358, 0.858, 0.500)
Sr (0.642, 0.142, 0.500)
Au (0.048, 0.316, 0.731)
Au (0.326, 0.500, 0.826)
Au (0.415, 0.684, 0.731)
Au (0.585, 0.316, 0.269)
Au (0.674, 0.500, 0.174)
Au (0.952, 0.684, 0.269)

Top 10 peaks for 2θ from 10° to 80°, by intensity:
30.33 deg, d 2.947, intensity 1000
20.58 deg, d 4.315, intensity 792
37.87 deg, d 2.376, intensity 727
22.03 deg, d 4.035, intensity 708
43.48 deg, d 2.081, intensity 631
43.07 deg, d 2.100, intensity 602
35.18 deg, d 2.551, intensity 543
36.41 deg, d 2.468, intensity 463
37.47 deg, d 2.400, intensity 413
11.95 deg, d 7.403, intensity 403



No. 9
# HoSbSe2O
Computed X-ray powder pattern, Cu Ka. Input: a DFT-relaxed cell (GGA-PBE, Alexandria).
Kinematic intensities with the Lorentz-polarization factor, no thermal factor.

Crystal structure
abc: 3.964 3.964 14.627
angles: 90.00 90.00 90.00
Positions (direct):
Ho (0.250, 0.250, 0.075)
Ho (0.750, 0.750, 0.925)
Sb (0.250, 0.250, 0.641)
Sb (0.750, 0.750, 0.359)
Se (0.250, 0.250, 0.392)
Se (0.250, 0.250, 0.818)
Se (0.750, 0.750, 0.182)
Se (0.750, 0.750, 0.608)
O (0.250, 0.750, 0.000)
O (0.750, 0.250, 0.000)

Top 10 peaks for 2θ from 10° to 80°, by intensity:
31.93 deg, d 2.803, intensity 1000
29.03 deg, d 3.076, intensity 557
38.24 deg, d 2.354, intensity 438
45.78 deg, d 1.982, intensity 423
40.55 deg, d 2.225, intensity 384
24.34 deg, d 3.657, intensity 282
25.56 deg, d 3.485, intensity 237
33.34 deg, d 2.688, intensity 231
54.80 deg, d 1.675, intensity 231
61.13 deg, d 1.516, intensity 219



No. 10
# NdY3Te4
Computed X-ray powder pattern, Cu Ka. Input: a DFT-relaxed cell (GGA-PBE, Alexandria).
Kinematic intensities with the Lorentz-polarization factor, no thermal factor.

Crystal structure
abc: 4.330 4.330 29.670
angles: 90.00 90.00 120.00
Positions (direct):
Nd (0.333, 0.667, 0.250)
Nd (0.667, 0.333, 0.750)
Y (0.000, 0.000, 0.000)
Y (0.000, 0.000, 0.500)
Y (0.333, 0.667, 0.622)
Y (0.333, 0.667, 0.878)
Y (0.667, 0.333, 0.122)
Y (0.667, 0.333, 0.378)
Te (0.000, 0.000, 0.183)
Te (0.000, 0.000, 0.317)
Te (0.000, 0.000, 0.683)
Te (0.000, 0.000, 0.817)
Te (0.333, 0.667, 0.061)
Te (0.333, 0.667, 0.439)
Te (0.667, 0.333, 0.561)
Te (0.667, 0.333, 0.939)

Top 10 peaks for 2θ from 10° to 80°, by intensity:
28.15 deg, d 3.170, intensity 1000
29.90 deg, d 2.988, intensity 994
41.72 deg, d 2.165, intensity 781
41.23 deg, d 2.190, intensity 388
66.37 deg, d 1.408, intensity 354
38.70 deg, d 2.327, intensity 295
52.17 deg, d 1.753, intensity 206
51.08 deg, d 1.788, intensity 189
68.91 deg, d 1.363, intensity 176
68.00 deg, d 1.379, intensity 159



No. 11
# Pr2Tm4Mg
Computed X-ray powder pattern, Cu Ka. Input: a DFT-relaxed cell (GGA-PBE, Alexandria).
Kinematic intensities with the Lorentz-polarization factor, no thermal factor.

Crystal structure
abc: 8.224 8.224 6.665
angles: 90.00 90.00 90.00
Positions (direct):
Pr (0.000, 0.500, 0.250)
Pr (0.000, 0.500, 0.750)
Pr (0.500, 0.000, 0.250)
Pr (0.500, 0.000, 0.750)
Tm (0.201, 0.201, 0.430)
Tm (0.201, 0.799, 0.570)
Tm (0.299, 0.299, 0.930)
Tm (0.299, 0.701, 0.070)
Tm (0.701, 0.299, 0.070)
Tm (0.701, 0.701, 0.930)
Tm (0.799, 0.201, 0.570)
Tm (0.799, 0.799, 0.430)
Mg (0.000, 0.000, 0.000)
Mg (0.500, 0.500, 0.500)

Top 10 peaks for 2θ from 10° to 80°, by intensity:
30.93 deg, d 2.891, intensity 1000
30.75 deg, d 2.908, intensity 854
34.65 deg, d 2.589, intensity 807
35.41 deg, d 2.535, intensity 534
27.70 deg, d 3.220, intensity 432
34.49 deg, d 2.601, intensity 388
41.86 deg, d 2.158, intensity 380
15.24 deg, d 5.815, intensity 309
17.12 deg, d 5.178, intensity 302
44.17 deg, d 2.050, intensity 288



No. 12
# ErPuP2O8
Computed X-ray powder pattern, Cu Ka. Input: a DFT-relaxed cell (GGA-PBE, Alexandria).
Kinematic intensities with the Lorentz-polarization factor, no thermal factor.

Crystal structure
abc: 5.267 5.267 7.065
angles: 90.00 90.00 120.00
Positions (direct):
Er (0.000, 0.000, 0.000)
Pu (0.000, 0.000, 0.500)
P (0.333, 0.667, 0.296)
P (0.667, 0.333, 0.704)
O (0.173, 0.347, 0.220)
O (0.173, 0.827, 0.220)
O (0.333, 0.667, 0.512)
O (0.347, 0.173, 0.780)
O (0.653, 0.827, 0.220)
O (0.667, 0.333, 0.488)
O (0.827, 0.173, 0.780)
O (0.827, 0.653, 0.780)

Top 10 peaks for 2θ from 10° to 80°, by intensity:
19.46 deg, d 4.561, intensity 1000
32.04 deg, d 2.793, intensity 720
34.04 deg, d 2.634, intensity 415
42.83 deg, d 2.111, intensity 349
47.45 deg, d 1.916, intensity 321
59.68 deg, d 1.549, intensity 245
67.01 deg, d 1.397, intensity 164
53.12 deg, d 1.724, intensity 161
77.34 deg, d 1.234, intensity 154
55.81 deg, d 1.647, intensity 143



No. 13
# Ti6FePd2
Computed X-ray powder pattern, Cu Ka. Input: a DFT-relaxed cell (GGA-PBE, Alexandria).
Kinematic intensities with the Lorentz-polarization factor, no thermal factor.

Crystal structure
abc: 7.267 7.267 7.267
angles: 145.48 131.09 61.24
Positions (direct):
Ti (0.084, 0.344, 0.741)
Ti (0.232, 0.000, 0.232)
Ti (0.397, 0.656, 0.741)
Ti (0.603, 0.344, 0.259)
Ti (0.768, 0.000, 0.768)
Ti (0.916, 0.656, 0.259)
Fe (0.000, 0.500, 0.500)
Pd (0.332, 0.832, 0.500)
Pd (0.668, 0.168, 0.500)

Top 10 peaks for 2θ from 10° to 80°, by intensity:
42.58 deg, d 2.123, intensity 1000
25.41 deg, d 3.505, intensity 519
26.00 deg, d 3.427, intensity 489
41.89 deg, d 2.157, intensity 270
43.41 deg, d 2.085, intensity 230
49.97 deg, d 1.825, intensity 157
76.98 deg, d 1.239, intensity 155
61.91 deg, d 1.499, intensity 149
50.97 deg, d 1.792, intensity 147
79.09 deg, d 1.211, intensity 131